This entry pairs a crystal structure of TeS4O14 with its simulated X-ray diffraction stick pattern. Radiation: copper Kα. Structure: a cell relaxed with PBE.
Kinematic intensities with the Lorentz-polarization factor, no thermal factor.

Crystal structure
```
TeS4O14
1.0
7.0441 0.0000 0.0000
1.2805 6.9648 0.0000
2.1805 1.9128 12.3170
Te S O
2 8 28
direct
0.0000 0.0000 0.0000
0.1530 0.8395 0.4963
0.0033 0.3965 0.0895
0.1577 0.4415 0.4052
0.2848 0.6309 0.7376
0.3779 0.7114 0.2553
0.5937 0.7046 0.5599
0.6016 0.9962 0.9095
0.7846 0.1272 0.2420
0.8705 0.2136 0.7552
0.0055 0.0814 0.8322
0.1432 0.7613 0.6634
0.1625 0.5549 0.5042
0.1753 0.3132 0.1361
0.1983 0.2406 0.4499
0.2370 0.8444 0.3283
0.2456 0.6920 0.8417
0.3009 0.7248 0.1563
0.3123 0.4316 0.7255
0.3546 0.4864 0.3278
0.3986 0.0390 0.9504
0.4366 0.8453 0.4931
0.4949 0.7206 0.6836
0.5785 0.7171 0.2555
0.5830 0.1244 0.2442
0.6139 0.5119 0.5373
0.6454 0.1882 0.8262
0.6842 0.8241 0.8647
0.7126 0.0140 0.0072
0.7562 0.8076 0.5445
0.8098 0.3517 0.1709
0.8683 0.1082 0.3392
0.8729 0.4153 0.7509
0.8877 0.1295 0.6589
0.9207 0.9938 0.1661
0.9606 0.5985 0.0477
0.9879 0.2860 0.9913
0.9904 0.5224 0.3539
```

Peak list (10 most intense, 15 to 90 degrees two-theta, by intensity)
Position (°2θ)  Rel. int.
15.68  100
16.78  57
26.90  48
17.79  45
27.91  44
17.92  40
27.17  35
19.64  31
41.16  29
31.27  28

---

This entry pairs a crystal structure of Ca2B2O5 with its simulated X-ray diffraction stick pattern. Radiation: copper Kα. Structure: a cell relaxed with PBE.
Kinematic intensities with the Lorentz-polarization factor, no thermal factor.

Crystal structure
```
Ca2B2O5
1.0
7.2731 0.0000 0.0000
0.0000 5.2154 0.0000
-0.5058 0.0000 11.6354
Ca B O
8 8 20
direct
0.1168 0.0667 0.3662
0.1168 0.4333 0.8662
0.3770 0.6011 0.1650
0.3770 0.8989 0.6650
0.6230 0.1011 0.3350
0.6230 0.3989 0.8350
0.8832 0.5667 0.1338
0.8832 0.9333 0.6338
0.1644 0.0631 0.0889
0.1644 0.4369 0.5889
0.3445 0.5776 0.4042
0.3445 0.9224 0.9042
0.6555 0.0776 0.0958
0.6555 0.4224 0.5958
0.8356 0.5631 0.4111
0.8356 0.9369 0.9111
0.0937 0.5801 0.6750
0.0937 0.9199 0.1750
0.1441 0.1790 0.5708
0.1441 0.3210 0.0708
0.2744 0.5928 0.5158
0.2744 0.9072 0.0158
0.3535 0.1442 0.8429
0.3535 0.3558 0.3429
0.3904 0.6926 0.8569
0.3904 0.8074 0.3569
0.6096 0.1926 0.6431
0.6096 0.3074 0.1431
0.6465 0.6442 0.6571
0.6465 0.8558 0.1571
0.7256 0.0928 0.9842
0.7256 0.4072 0.4842
0.8559 0.6790 0.9292
0.8559 0.8210 0.4292
0.9063 0.0801 0.8250
0.9063 0.4199 0.3250
```

Peak list (10 most intense, 15 to 90 degrees two-theta, by intensity)
Position (°2θ)  Rel. int.
31.24  100
30.72  86
29.97  44
28.68  40
49.55  28
48.44  25
35.32  23
50.22  21
48.78  18
55.15  18

---

This entry pairs a crystal structure of Ce2GaH with its simulated X-ray diffraction stick pattern. Radiation: copper Kα. Structure: a cell relaxed with PBE.
Kinematic intensities with the Lorentz-polarization factor, no thermal factor.

Crystal structure
```
Ce2GaH
1.0
5.6131 0.0000 0.0000
-2.8065 4.8611 0.0000
0.0000 0.0000 8.5331
Ce Ga H
6 3 3
direct
0.1490 0.8323 0.0264
0.1677 0.3167 0.3597
0.3167 0.1677 0.6403
0.6833 0.8510 0.6931
0.8323 0.1490 0.9736
0.8510 0.6833 0.3069
0.0000 0.5116 0.6667
0.4884 0.4884 0.0000
0.5116 0.0000 0.3333
0.0000 0.4452 0.1667
0.4452 0.0000 0.8333
0.5548 0.5548 0.5000
```

Peak list (10 most intense, 15 to 90 degrees two-theta, by intensity)
Position (°2θ)  Rel. int.
33.62  100
38.39  65
31.45  38
57.93  20
53.99  19
75.55  17
61.19  16
31.89  16
21.03  15
66.65  15

---

This entry pairs a crystal structure of AgPH with its simulated X-ray diffraction stick pattern. Radiation: copper Kα. Structure: a cell relaxed with PBE.
Kinematic intensities with the Lorentz-polarization factor, no thermal factor.

Crystal structure
```
AgPH
1.0
3.0144 0.0000 0.0000
0.0002 4.2275 0.0000
1.4637 2.0424 3.9627
Ag P H
1 1 1
direct
0.0000 0.0000 0.0000
0.4793 0.4794 0.0429
0.3031 0.3041 0.4071
```

Peak list (10 most intense, 15 to 90 degrees two-theta, by intensity)
Position (°2θ)  Rel. int.
22.44  100
36.62  57
43.37  33
23.68  28
24.04  27
42.79  18
42.97  17
43.77  16
45.80  14
31.64  14

---

This entry pairs a crystal structure of Ac2Cu2PdS6 with its simulated X-ray diffraction stick pattern. Radiation: copper Kα. Structure: a cell relaxed with PBE.
Kinematic intensities with the Lorentz-polarization factor, no thermal factor.

Crystal structure
```
Ac2Cu2PdS6
1.0
3.4291 1.9798 5.9767
-3.4291 1.9798 5.9767
0.0000 -3.9596 5.9767
Ac Cu Pd S
2 2 1 6
direct
0.2248 0.2248 0.2248
0.7752 0.7752 0.7752
0.4152 0.4152 0.4152
0.5848 0.5848 0.5848
0.0000 0.0000 0.0000
0.2124 0.7593 0.7593
0.2407 0.2407 0.7876
0.2407 0.7876 0.2407
0.7593 0.2124 0.7593
0.7593 0.7593 0.2124
0.7876 0.2407 0.2407
```

Peak list (10 most intense, 15 to 90 degrees two-theta, by intensity)
Position (°2θ)  Rel. int.
25.98  100
29.09  49
36.29  36
47.80  33
31.74  29
39.39  29
53.43  28
24.89  28
45.83  22
53.17  19

---

This entry pairs a crystal structure of Ba3UCu2O8 with its simulated X-ray diffraction stick pattern. Radiation: copper Kα. Structure: a cell relaxed with PBE.
Kinematic intensities with the Lorentz-polarization factor, no thermal factor.

Crystal structure
```
Ba3UCu2O8
1.0
5.9312 0.0000 0.0000
-2.9656 5.1366 0.0000
0.0000 0.0000 7.8025
Ba U Cu O
3 1 2 8
direct
0.0000 0.0000 0.0000
0.3333 0.6667 0.6557
0.6667 0.3333 0.3443
0.0000 0.0000 0.5000
0.3333 0.6667 0.2023
0.6667 0.3333 0.7977
0.1638 0.3277 0.3412
0.1638 0.8362 0.3412
0.3277 0.1638 0.6588
0.3333 0.6667 0.9723
0.6667 0.3333 0.0277
0.6723 0.8362 0.3412
0.8362 0.1638 0.6588
0.8362 0.6723 0.6588
```

Peak list (10 most intense, 15 to 90 degrees two-theta, by intensity)
Position (°2θ)  Rel. int.
30.13  100
28.74  99
42.12  47
52.66  38
50.02  20
53.52  20
68.15  16
70.35  16
17.26  16
62.65  16